# 1
This entry pairs a crystal structure of AcCe6Te8 with its theoretical powder diffraction line list. Radiation: copper Kα. Structure: the GGA-PBE geometry in Alexandria.

Structural model:
```
data_AcCe6Te8
_cell_length_a 12.7288
_cell_length_b 12.7288
_cell_length_c 12.7288
_cell_angle_alpha 90.00
_cell_angle_beta 90.00
_cell_angle_gamma 90.00
_symmetry_space_group_name_H-M 'F m -3 m'
_symmetry_Int_Tables_number 225
_symmetry_space_group_name_Hall '-F 4 2 3'
loop_
_atom_site_label
_atom_site_type_symbol
_atom_site_fract_x
_atom_site_fract_y
_atom_site_fract_z
Ac1 Ac 0.0000 0.0000 0.0000
Ce1 Ce 0.0000 0.2500 0.2500
Te1 Te 0.0000 0.0000 0.2624
Te2 Te 0.2500 0.2500 0.2500
```

Largest 10 diffraction maxima, low angle first, 2θ from 10° to 90°:
- 12.04 deg, 7.349 Å, I 6
- 23.18 deg, 3.838 Å, I 9
- 28.04 deg, 3.182 Å, I 100
- 30.61 deg, 2.920 Å, I 8
- 40.07 deg, 2.250 Å, I 76
- 49.62 deg, 1.837 Å, I 27
- 57.96 deg, 1.591 Å, I 13
- 65.60 deg, 1.423 Å, I 34
- 72.80 deg, 1.299 Å, I 25
- 86.50 deg, 1.125 Å, I 8

=====

# 2
This entry pairs a crystal structure of SrCuOsO5 with its theoretical powder diffraction line list. Radiation: copper Kα. Structure: the GGA-PBE geometry in Alexandria.

Structural model:
```
data_SrCuOsO5
_cell_length_a 6.6419
_cell_length_b 9.4463
_cell_length_c 7.3673
_cell_angle_alpha 90.00
_cell_angle_beta 111.52
_cell_angle_gamma 90.00
_symmetry_space_group_name_H-M 'C 1 2/c 1'
_symmetry_Int_Tables_number 15
loop_
_symmetry_equiv_pos_as_xyz
'x,y,z'
'-x,-y,-z'
'-x,y,-z+1/2'
'x,-y,z+1/2'
'x+1/2,y+1/2,z'
'-x+1/2,-y+1/2,-z'
'-x+1/2,y+1/2,-z+1/2'
'x+1/2,-y+1/2,z+1/2'
loop_
_atom_site_label
_atom_site_type_symbol
_atom_site_fract_x
_atom_site_fract_y
_atom_site_fract_z
Sr1 Sr 0.0000 0.1651 0.2500
Cu1 Cu 0.0000 0.1872 0.7500
Os1 Os 0.0000 0.5000 0.0000
O1 O 0.0000 0.4379 0.2500
O2 O 0.0942 0.3123 0.5919
O3 O 0.2052 0.0552 0.9283
```

Largest 10 diffraction maxima, low angle first, 2θ from 10° to 90°:
- 17.15 deg, 5.171 Å, I 66
- 26.43 deg, 3.373 Å, I 100
- 28.90 deg, 3.090 Å, I 64
- 31.90 deg, 2.806 Å, I 83
- 32.27 deg, 2.774 Å, I 60
- 35.59 deg, 2.522 Å, I 28
- 36.55 deg, 2.458 Å, I 31
- 43.21 deg, 2.094 Å, I 23
- 53.14 deg, 1.724 Å, I 25
- 58.23 deg, 1.584 Å, I 19

=====

# 3
This entry pairs a crystal structure of ThAlPd2 with its theoretical powder diffraction line list. Radiation: copper Kα. Structure: the GGA-PBE geometry in Alexandria.

Structural model:
```
data_ThAlPd2
_cell_length_a 7.6595
_cell_length_b 6.9715
_cell_length_c 5.9555
_cell_angle_alpha 90.00
_cell_angle_beta 90.00
_cell_angle_gamma 90.00
_symmetry_space_group_name_H-M 'P n m a'
_symmetry_Int_Tables_number 62
loop_
_symmetry_equiv_pos_as_xyz
'x,y,z'
'-x,-y,-z'
'-x+1/2,-y,z+1/2'
'x+1/2,y,-z+1/2'
'x+1/2,-y+1/2,-z+1/2'
'-x+1/2,y+1/2,z+1/2'
'-x,y+1/2,-z'
'x,-y+1/2,z'
loop_
_atom_site_label
_atom_site_type_symbol
_atom_site_fract_x
_atom_site_fract_y
_atom_site_fract_z
Th1 Th 0.0416 0.2500 0.1635
Al1 Al 0.1151 0.7500 0.3351
Pd1 Pd 0.1793 0.0493 0.5861
```

Largest 10 diffraction maxima, low angle first, 2θ from 10° to 90°:
- 19.60 deg, 4.528 Å, I 34
- 26.56 deg, 3.357 Å, I 18
- 30.57 deg, 2.924 Å, I 46
- 31.96 deg, 2.800 Å, I 34
- 32.25 deg, 2.775 Å, I 26
- 34.80 deg, 2.578 Å, I 100
- 38.04 deg, 2.366 Å, I 27
- 38.34 deg, 2.348 Å, I 37
- 41.72 deg, 2.165 Å, I 20
- 62.38 deg, 1.489 Å, I 17

=====

# 4
This entry pairs a crystal structure of InGa2F6 with its theoretical powder diffraction line list. Radiation: copper Kα. Structure: the GGA-PBE geometry in Alexandria.

Structural model:
```
data_InGa2F6
_cell_length_a 5.5520
_cell_length_b 5.5520
_cell_length_c 5.8960
_cell_angle_alpha 90.00
_cell_angle_beta 90.00
_cell_angle_gamma 120.00
_symmetry_space_group_name_H-M 'P 3 1 2'
_symmetry_Int_Tables_number 149
loop_
_symmetry_equiv_pos_as_xyz
'x,y,z'
'-y,x-y,z'
'-x+y,-x,z'
'-y,-x,-z'
'-x+y,y,-z'
'x,x-y,-z'
loop_
_atom_site_label
_atom_site_type_symbol
_atom_site_fract_x
_atom_site_fract_y
_atom_site_fract_z
In1 In 0.0000 0.0000 0.0000
Ga1 Ga 0.3333 0.6667 0.5000
Ga2 Ga 0.6667 0.3333 0.5000
F1 F 0.0281 0.3943 0.6859
```

Largest 10 diffraction maxima, low angle first, 2θ from 10° to 90°:
- 23.88 deg, 3.726 Å, I 100
- 32.25 deg, 2.776 Å, I 26
- 35.74 deg, 2.512 Å, I 9
- 40.52 deg, 2.226 Å, I 19
- 44.85 deg, 2.021 Å, I 43
- 50.15 deg, 1.819 Å, I 11
- 52.71 deg, 1.737 Å, I 22
- 57.50 deg, 1.603 Å, I 14
- 60.88 deg, 1.522 Å, I 9
- 72.66 deg, 1.301 Å, I 17

=====

# 5
This entry pairs a crystal structure of ScB6Mo2 with its theoretical powder diffraction line list. Radiation: copper Kα. Structure: the GGA-PBE geometry in Alexandria.

Structural model:
```
data_ScB6Mo2
_cell_length_a 5.3271
_cell_length_b 5.3271
_cell_length_c 3.3183
_cell_angle_alpha 90.00
_cell_angle_beta 90.00
_cell_angle_gamma 120.00
_symmetry_space_group_name_H-M 'P 6/m m m'
_symmetry_Int_Tables_number 191
_symmetry_space_group_name_Hall '-P 6 2'
loop_
_atom_site_label
_atom_site_type_symbol
_atom_site_fract_x
_atom_site_fract_y
_atom_site_fract_z
Sc1 Sc 0.0000 0.0000 0.0000
B1 B 0.0000 0.3348 0.5000
Mo1 Mo 0.3333 0.6667 0.0000
```

Largest 10 diffraction maxima, low angle first, 2θ from 10° to 90°:
- 19.24 deg, 4.613 Å, I 17
- 26.87 deg, 3.318 Å, I 33
- 33.65 deg, 2.664 Å, I 72
- 43.57 deg, 2.077 Å, I 100
- 55.37 deg, 1.659 Å, I 9
- 60.17 deg, 1.538 Å, I 21
- 66.38 deg, 1.408 Å, I 19
- 67.08 deg, 1.395 Å, I 15
- 77.18 deg, 1.236 Å, I 17
- 86.24 deg, 1.128 Å, I 16

=====

# 6
This entry pairs a crystal structure of Ac5Tb2Pr4 with its theoretical powder diffraction line list. Radiation: copper Kα. Structure: the GGA-PBE geometry in Alexandria.

Structural model:
```
data_Ac5Tb2Pr4
_cell_length_a 9.4289
_cell_length_b 3.7092
_cell_length_c 12.6083
_cell_angle_alpha 90.00
_cell_angle_beta 91.94
_cell_angle_gamma 90.00
_symmetry_space_group_name_H-M 'P 1 2/m 1'
_symmetry_Int_Tables_number 10
loop_
_symmetry_equiv_pos_as_xyz
'x,y,z'
'-x,-y,-z'
'-x,y,-z'
'x,-y,z'
loop_
_atom_site_label
_atom_site_type_symbol
_atom_site_fract_x
_atom_site_fract_y
_atom_site_fract_z
Ac1 Ac 0.0000 0.0000 0.0000
Ac2 Ac 0.1973 0.0000 0.5273
Ac3 Ac 0.2863 0.0000 0.8198
Tb1 Tb 0.3479 0.0000 0.1183
Pr1 Pr 0.0765 0.5000 0.2669
Pr2 Pr 0.4610 0.5000 0.3543
```

Largest 10 diffraction maxima, low angle first, 2θ from 10° to 90°:
- 23.99 deg, 3.709 Å, I 30
- 26.69 deg, 3.339 Å, I 33
- 27.93 deg, 3.195 Å, I 40
- 28.95 deg, 3.084 Å, I 100
- 29.06 deg, 3.072 Å, I 94
- 29.59 deg, 3.019 Å, I 84
- 30.68 deg, 2.914 Å, I 50
- 32.20 deg, 2.780 Å, I 53
- 37.98 deg, 2.369 Å, I 34
- 58.06 deg, 1.589 Å, I 59

=====

# 7
This entry pairs a crystal structure of Ba2InHg4Bi3 with its theoretical powder diffraction line list. Radiation: copper Kα. Structure: the GGA-PBE geometry in Alexandria.

Structural model:
```
data_Ba2InHg4Bi3
_cell_length_a 5.3307
_cell_length_b 5.3307
_cell_length_c 11.8636
_cell_angle_alpha 90.00
_cell_angle_beta 90.00
_cell_angle_gamma 90.00
_symmetry_space_group_name_H-M 'P -4 m 2'
_symmetry_Int_Tables_number 115
loop_
_symmetry_equiv_pos_as_xyz
'x,y,z'
'y,-x,-z'
'-x,-y,z'
'-y,x,-z'
'-x,y,z'
'-y,-x,-z'
'x,-y,z'
'y,x,-z'
loop_
_atom_site_label
_atom_site_type_symbol
_atom_site_fract_x
_atom_site_fract_y
_atom_site_fract_z
Ba1 Ba 0.0000 0.5000 0.2471
In1 In 0.0000 0.0000 0.5000
Hg1 Hg 0.0000 0.0000 0.0000
Hg2 Hg 0.0000 0.5000 0.6221
Hg3 Hg 0.5000 0.5000 0.0000
Bi1 Bi 0.0000 0.5000 0.8693
Bi2 Bi 0.5000 0.5000 0.5000
```

Largest 10 diffraction maxima, low angle first, 2θ from 10° to 90°:
- 18.25 deg, 4.862 Å, I 17
- 28.07 deg, 3.179 Å, I 100
- 33.62 deg, 2.665 Å, I 60
- 38.63 deg, 2.331 Å, I 42
- 41.67 deg, 2.168 Å, I 16
- 44.37 deg, 2.042 Å, I 24
- 48.29 deg, 1.885 Å, I 22
- 54.57 deg, 1.682 Å, I 14
- 56.78 deg, 1.621 Å, I 23
- 63.47 deg, 1.466 Å, I 21

=====

# 8
This entry pairs a crystal structure of BaCaSn4O8 with its theoretical powder diffraction line list. Radiation: copper Kα. Structure: the GGA-PBE geometry in Alexandria.

Structural model:
```
data_BaCaSn4O8
_cell_length_a 6.1305
_cell_length_b 6.1305
_cell_length_c 7.0472
_cell_angle_alpha 90.00
_cell_angle_beta 90.00
_cell_angle_gamma 120.00
_symmetry_space_group_name_H-M 'P -3 1 m'
_symmetry_Int_Tables_number 162
_symmetry_space_group_name_Hall '-P 3 2'
loop_
_atom_site_label
_atom_site_type_symbol
_atom_site_fract_x
_atom_site_fract_y
_atom_site_fract_z
Ba1 Ba 0.0000 0.0000 0.0000
Ca1 Ca 0.0000 0.0000 0.5000
Sn1 Sn 0.3333 0.6667 0.2864
O1 O 0.0000 0.3057 0.2921
O2 O 0.3333 0.6667 0.0000
```

Largest 10 diffraction maxima, low angle first, 2θ from 10° to 90°:
- 20.95 deg, 4.240 Å, I 16
- 25.28 deg, 3.524 Å, I 11
- 29.13 deg, 3.065 Å, I 100
- 30.45 deg, 2.936 Å, I 58
- 42.64 deg, 2.120 Å, I 26
- 48.85 deg, 1.865 Å, I 19
- 51.65 deg, 1.770 Å, I 29
- 52.48 deg, 1.744 Å, I 28
- 60.40 deg, 1.533 Å, I 13
- 60.63 deg, 1.527 Å, I 15

=====

# 9
This entry pairs a crystal structure of TlBi2HPd with its theoretical powder diffraction line list. Radiation: copper Kα. Structure: the GGA-PBE geometry in Alexandria.

Structural model:
```
data_TlBi2HPd
_cell_length_a 5.7306
_cell_length_b 5.7306
_cell_length_c 3.4795
_cell_angle_alpha 90.00
_cell_angle_beta 90.00
_cell_angle_gamma 90.00
_symmetry_space_group_name_H-M 'P 4/m m m'
_symmetry_Int_Tables_number 123
_symmetry_space_group_name_Hall '-P 4 2'
loop_
_atom_site_label
_atom_site_type_symbol
_atom_site_fract_x
_atom_site_fract_y
_atom_site_fract_z
Tl1 Tl 0.0000 0.0000 0.0000
Bi1 Bi 0.0000 0.5000 0.5000
H1 H 0.5000 0.5000 0.0000
Pd1 Pd 0.5000 0.5000 0.5000
```

Largest 10 diffraction maxima, low angle first, 2θ from 10° to 90°:
- 30.05 deg, 2.974 Å, I 40
- 31.22 deg, 2.865 Å, I 100
- 33.96 deg, 2.640 Å, I 79
- 40.80 deg, 2.212 Å, I 19
- 43.88 deg, 2.063 Å, I 28
- 44.73 deg, 2.026 Å, I 38
- 57.33 deg, 1.607 Å, I 37
- 62.45 deg, 1.487 Å, I 28
- 71.47 deg, 1.320 Å, I 19
- 73.97 deg, 1.281 Å, I 18

=====

# 10
This entry pairs a crystal structure of LaMg5Ga2 with its theoretical powder diffraction line list. Radiation: copper Kα. Structure: the GGA-PBE geometry in Alexandria.

Structural model:
```
data_LaMg5Ga2
_cell_length_a 4.3651
_cell_length_b 8.2235
_cell_length_c 10.3789
_cell_angle_alpha 90.00
_cell_angle_beta 90.00
_cell_angle_gamma 90.00
_symmetry_space_group_name_H-M 'I m m m'
_symmetry_Int_Tables_number 71
_symmetry_space_group_name_Hall '-I 2 2'
loop_
_atom_site_label
_atom_site_type_symbol
_atom_site_fract_x
_atom_site_fract_y
_atom_site_fract_z
La1 La 0.0000 0.0000 0.0000
Mg1 Mg 0.0000 0.1828 0.3457
Mg2 Mg 0.0000 0.5000 0.0000
Ga1 Ga 0.0000 0.5000 0.2694
```

Largest 10 diffraction maxima, low angle first, 2θ from 10° to 90°:
- 13.74 deg, 6.446 Å, I 53
- 21.61 deg, 4.112 Å, I 52
- 28.85 deg, 3.095 Å, I 100
- 31.10 deg, 2.876 Å, I 49
- 33.04 deg, 2.711 Å, I 62
- 33.82 deg, 2.650 Å, I 20
- 41.14 deg, 2.194 Å, I 40
- 41.37 deg, 2.183 Å, I 28
- 42.67 deg, 2.119 Å, I 51
- 59.76 deg, 1.547 Å, I 26